Theoretical powder diffractogram
Compound: CaBiMoO5
Radiation: a wavelength of 1.5418 Å
Structure: a structure optimized by DFT (PBE+U)

Largest 12 diffraction maxima, in order of rising 2θ, 2θ = 10–90°:
| d (Å) | intensity |
| --- | --- |
| 5.455 | 85 |
| 4.836 | 23 |
| 3.908 | 35 |
| 3.838 | 89 |
| 3.298 | 100 |
| 2.981 | 31 |
| 2.866 | 21 |
| 2.835 | 72 |
| 2.686 | 22 |
| 2.616 | 23 |
| 2.191 | 30 |
| 1.693 | 22 |

Cell and atoms:
Cell: 5.8279 11.9231 8.8376 Å, 90.00 110.61 90.00°
Space group P2_1/c (No. 14)
One atom of each set of equivalent atoms:
Ca1 0.0559 0.0861 0.1794 x4
Bi1 0.4641 0.1026 0.8549 x4
Mo1 0.3288 0.6343 0.0297 x4
O1 0.2103 0.5654 0.1714 x4
O2 0.2117 0.7143 0.4920 x4
O3 0.2705 0.0281 0.0114 x4
O4 0.3084 0.5660 0.8372 x4
O5 0.3551 0.1939 0.3616 x4